For Li7Co5O12, a cell relaxed with PBE+U gives the calculated powder XRD pattern in this record (Cu Kα X-rays).
Kinematic intensities with the Lorentz-polarization factor, no thermal factor.

Top 6 peaks for 10° ≤ 2θ ≤ 90°, low angle first:
2θ/deg  Rel. int.
18.75  100
36.86  25
44.60  52
44.90  25
64.67  20
65.59  14

Crystal structure
abc: 4.922 8.588 5.003
angles: 90.00 108.91 90.00
Fractional positions:
Li: 0.000 0.000 0.000
Li: 0.000 0.162 0.500
Li: 0.000 0.500 0.500
Li: 0.000 0.838 0.500
Li: 0.500 0.000 0.500
Li: 0.500 0.329 0.500
Li: 0.500 0.671 0.500
Co: 0.000 0.331 0.000
Co: 0.000 0.669 0.000
Co: 0.500 0.164 0.000
Co: 0.500 0.500 0.000
Co: 0.500 0.836 0.000
O: 0.241 0.500 0.215
O: 0.253 0.175 0.219
O: 0.253 0.825 0.219
O: 0.255 0.328 0.776
O: 0.255 0.672 0.776
O: 0.285 0.000 0.776
O: 0.715 0.000 0.224
O: 0.745 0.328 0.224
O: 0.745 0.672 0.224
O: 0.747 0.175 0.781
O: 0.747 0.825 0.781
O: 0.759 0.500 0.785